1.
Structure and theoretical X-ray powder pattern of RbBiCl14 (a cell relaxed with GGA-PBE; Cu Kα X-rays).

Top 6 peaks for 5 to 70 degrees two-theta, low angle first:
- 2θ 12.04, I = 1000, (1 0 1)
- 2θ 12.80, I = 941, (1 0 0)
- 2θ 13.22, I = 701, (1 1 1)
- 2θ 13.46, I = 840, (0 1 -1)
- 2θ 20.49, I = 729, (1 1 2)
- 2θ 26.18, I = 701, (0 2 1)

Cell lengths 8.8100, 9.2722, 9.7145 Å; angles 87.87, 63.85, 63.17 degrees
Space group P1 (No. 1)
Unique sites:
Rb  0.0000  0.0000  0.0000
Bi  0.9115  0.3765  0.3654
Cl  0.0371  0.1790  0.6710
Cl  0.0373  0.7078  0.7220
Cl  0.0798  0.0450  0.2924
Cl  0.1938  0.3725  0.1383
Cl  0.2385  0.1899  0.7173
Cl  0.2945  0.5876  0.5250
Cl  0.4015  0.6357  0.9414
Cl  0.5211  0.1920  0.7818
Cl  0.5470  0.6786  0.7216
Cl  0.6515  0.9189  0.0141
Cl  0.6894  0.8331  0.2038
Cl  0.7196  0.4007  0.2280
Cl  0.7523  0.7158  0.4412
Cl  0.7669  0.1199  0.5632



2.
Structure and theoretical X-ray powder pattern of CaCdHg (a cell relaxed with GGA-PBE; Cu Kα X-rays).

Top 6 peaks for 5 to 70 degrees two-theta, low angle first:
- 2θ 20.47, I = 413, (1 0 1)
- 2θ 24.68, I = 507, (0 1 0)
- 2θ 32.27, I = 840, (1 1 1)
- 2θ 35.85, I = 1000, (2 0 0)
- 2θ 44.00, I = 671, (2 1 0)
- 2θ 63.55, I = 368, (2 2 0)

Cell lengths 5.0066, 3.6080, 8.6842 Å; angles 90.00, 90.00, 90.00 degrees
Space group Pmma (No. 51)
Unique sites:
Ca  0.2500  0.0000  0.2362
Cd  0.2500  0.5000  0.5781
Hg  0.2500  0.5000  0.9089



3.
Structure and theoretical X-ray powder pattern of Li2Ca2PrSn2 (a cell relaxed with GGA-PBE; Cu Kα X-rays).

Top 6 peaks for 5 to 70 degrees two-theta, low angle first:
- 2θ 9.56, I = 542, (0 0 3)
- 2θ 21.19, I = 530, (1 0 1)
- 2θ 24.59, I = 923, (1 0 4)
- 2θ 30.87, I = 766, (1 0 7)
- 2θ 33.36, I = 1000, (0 1 8)
- 2θ 36.69, I = 973, (1 1 0)

Cell lengths 4.8988, 4.8988, 27.7587 Å; angles 90.00, 90.00, 120.00 degrees
Space group R-3m (No. 166, hexagonal axes)
Unique sites:
Li  0.0000  0.0000  0.0972
Ca  0.0000  0.0000  0.3706
Pr  0.0000  0.0000  0.5000
Sn  0.0000  0.0000  0.2382



4.
Structure and theoretical X-ray powder pattern of NbAg7S6 (a cell relaxed with GGA-PBE; Cu Kα X-rays).

Top 6 peaks for 5 to 70 degrees two-theta, low angle first:
- 2θ 16.64, I = 1000, (1 1 -1)
- 2θ 18.52, I = 725, (1 1 0)
- 2θ 29.65, I = 630, (1 1 2)
- 2θ 31.42, I = 853, (1 2 1)
- 2θ 33.64, I = 488, (2 2 -2)
- 2θ 36.03, I = 660, (3 0 -4)

Cell lengths 7.6767, 7.4005, 13.3448 Å; angles 90.00, 124.90, 90.00 degrees
Space group Pc (No. 7)
Unique sites:
Nb  0.0000  0.2427  0.0000
Ag  0.0974  0.1216  0.4057
Ag  0.3073  0.4878  0.4884
Ag  0.3086  0.2101  0.2790
Ag  0.4744  0.0423  0.1462
Ag  0.6889  0.3231  0.7292
Ag  0.7163  0.4170  0.4558
Ag  0.9155  0.3988  0.1951
S  0.1026  0.2438  0.8642
S  0.1091  0.0269  0.6100
S  0.1467  0.4975  0.1299
S  0.5076  0.2101  0.5102
S  0.6348  0.2410  0.8944
S  0.7378  0.2721  0.2805